Entry 1:
The following is a computed PXRD pattern of SrLaMnFeO6. It was derived from a GGA+U-relaxed structure, using CuKα.

The 12 most intense peaks (15 to 90 degrees two-theta), by angle:
2θ/deg  I_rel  hkl
22.71  10  2 0 0
32.23  50  2 2 -1
32.38  100  0 0 2
39.87  12  2 4 0
46.37  51  4 0 0
57.51  10  2 2 -3
57.62  20  2 6 -1
57.73  10  2 6 1
57.85  14  4 0 2
67.72  9  0 0 4
67.85  10  4 4 2
77.06  12  6 2 1

```
data_SrLaMnFeO6
_cell_length_a 7.843
_cell_length_b 11.070
_cell_length_c 5.535
_cell_angle_alpha 90.00
_cell_angle_beta 90.45
_cell_angle_gamma 90.00
_space_group_name_H-M_alt 'P 1 2/c 1'
_space_group_IT_number 13
loop_
_space_group_symop_operation_xyz
'x,y,z'
'-x,-y,-z'
'-x,y,-z+1/2'
'x,-y,z+1/2'
loop_
_atom_site_label
_atom_site_type_symbol
_atom_site_fract_x
_atom_site_fract_y
_atom_site_fract_z
Sr1 Sr 0.000 0.119 0.250
Sr2 Sr 0.500 0.121 0.250
La1 La 0.000 0.369 0.750
La2 La 0.500 0.373 0.750
Mn1 Mn 0.249 0.123 0.752
Fe1 Fe 0.251 0.373 0.248
O1 O 0.000 0.114 0.750
O2 O 0.000 0.400 0.250
O3 O 0.229 0.243 0.006
O4 O 0.232 0.262 0.531
O5 O 0.267 0.009 0.483
O6 O 0.274 0.488 0.972
O7 O 0.500 0.150 0.750
O8 O 0.500 0.357 0.250
```


Entry 2:
The following is a computed PXRD pattern of Na2MnS2O8. It was derived from a GGA+U-relaxed structure, using CuKα.

The 12 most intense peaks (15 to 90 degrees two-theta), by angle:
2θ/deg  I_rel  hkl
20.89  29  1 1 1
22.33  57  0 0 2
27.90  100  2 2 -1
28.43  57  3 1 -1
29.27  33  2 2 0
30.35  36  1 1 2
30.94  92  2 2 -2
31.24  33  0 2 2
32.37  49  1 1 -3
43.24  35  1 1 -4
45.50  29  0 4 1
52.15  35  1 3 3

```
data_Na2MnS2O8
_cell_length_a 10.226
_cell_length_b 8.238
_cell_length_c 8.962
_cell_angle_alpha 90.00
_cell_angle_beta 117.31
_cell_angle_gamma 90.00
_space_group_name_H-M_alt 'C 1 2/c 1'
_space_group_IT_number 15
loop_
_space_group_symop_operation_xyz
'x,y,z'
'-x,-y,-z'
'-x,y,-z+1/2'
'x,-y,z+1/2'
'x+1/2,y+1/2,z'
'-x+1/2,-y+1/2,-z'
'-x+1/2,y+1/2,-z+1/2'
'x+1/2,-y+1/2,z+1/2'
loop_
_atom_site_label
_atom_site_type_symbol
_atom_site_fract_x
_atom_site_fract_y
_atom_site_fract_z
Na1 Na 0.139 0.051 0.441
Mn1 Mn 0.000 0.421 0.750
S1 S 0.186 0.290 0.180
O1 O 0.106 0.132 0.133
O2 O 0.140 0.400 0.032
O3 O 0.151 0.236 0.745
O4 O 0.155 0.370 0.311
```


Entry 3:
The following is a computed PXRD pattern of InCoO3. It was derived from a GGA+U-relaxed structure, using CuKα.

The 12 most intense peaks (15 to 90 degrees two-theta), by angle:
2θ/deg  I_rel  hkl
26.98  16  1 1 1
33.73  18  2 0 0
34.25  100  1 2 1
35.02  22  0 0 2
49.01  14  0 4 0
49.42  18  2 0 2
51.02  10  2 1 2
56.33  13  3 1 1
60.82  9  2 4 0
61.65  11  0 4 2
62.32  21  1 2 3
72.17  11  2 4 2

```
data_InCoO3
_cell_length_a 5.314
_cell_length_b 7.435
_cell_length_c 5.124
_cell_angle_alpha 90.00
_cell_angle_beta 90.00
_cell_angle_gamma 90.00
_space_group_name_H-M_alt 'P n m a'
_space_group_IT_number 62
loop_
_space_group_symop_operation_xyz
'x,y,z'
'-x,-y,-z'
'-x+1/2,-y,z+1/2'
'x+1/2,y,-z+1/2'
'x+1/2,-y+1/2,-z+1/2'
'-x+1/2,y+1/2,z+1/2'
'-x,y+1/2,-z'
'x,-y+1/2,z'
loop_
_atom_site_label
_atom_site_type_symbol
_atom_site_fract_x
_atom_site_fract_y
_atom_site_fract_z
In1 In 0.064 0.250 0.022
Co1 Co 0.000 0.000 0.500
O1 O 0.049 0.750 0.381
O2 O 0.200 0.564 0.803
```


Entry 4:
The following is a computed PXRD pattern of Li7MgNi7O16. It was derived from a GGA+U-relaxed structure, using CuKα.

The 12 most intense peaks (15 to 90 degrees two-theta), by angle:
2θ/deg  I_rel  hkl
18.84  100  0 0 1
25.13  8  1 3 0
36.78  27  2 4 0
36.83  15  4 0 -1
38.43  12  2 4 -1
44.65  91  2 4 1
48.80  10  2 4 -2
59.05  10  2 4 2
64.73  16  2 4 -3
65.01  16  0 8 0
65.21  16  6 4 -1
82.32  7  4 8 -2

```
data_Li7MgNi7O16
_cell_length_a 9.905
_cell_length_b 11.470
_cell_length_c 4.996
_cell_angle_alpha 90.00
_cell_angle_beta 109.51
_cell_angle_gamma 90.00
_space_group_name_H-M_alt 'C 1 2 1'
_space_group_IT_number 5
loop_
_space_group_symop_operation_xyz
'x,y,z'
'-x,y,-z'
'x+1/2,y+1/2,z'
'-x+1/2,y+1/2,-z'
loop_
_atom_site_label
_atom_site_type_symbol
_atom_site_fract_x
_atom_site_fract_y
_atom_site_fract_z
Li1 Li 0.000 0.000 0.000
Li2 Li 0.000 0.243 0.000
Li3 Li 0.000 0.502 0.000
Li4 Li 0.242 0.619 0.972
Li5 Li 0.248 0.371 0.001
Mg1 Mg 0.000 0.739 0.000
Ni1 Ni 0.000 0.122 0.500
Ni2 Ni 0.000 0.370 0.500
Ni3 Ni 0.000 0.871 0.500
Ni4 Ni 0.246 0.497 0.502
Ni5 Ni 0.246 0.743 0.499
O1 O 0.111 0.248 0.718
O2 O 0.118 0.866 0.274
O3 O 0.119 0.996 0.709
O4 O 0.121 0.765 0.739
O5 O 0.126 0.480 0.727
O6 O 0.127 0.367 0.287
O7 O 0.136 0.120 0.265
O8 O 0.142 0.628 0.250
```


Entry 5:
The following is a computed PXRD pattern of LiFeF4. It was derived from a GGA+U-relaxed structure, using CuKα.

The 12 most intense peaks (15 to 90 degrees two-theta), by angle:
2θ/deg  I_rel  hkl
16.32  71  1 1 -1
18.42  100  2 0 -1
23.46  54  0 2 1
25.76  18  2 0 1
26.17  23  0 0 2
26.51  23  1 1 -2
26.71  90  2 2 0
39.71  40  0 0 3
39.93  20  4 2 -1
40.54  80  3 3 0
50.44  42  2 0 -4
53.43  25  5 3 -1

```
data_LiFeF4
_cell_length_a 10.393
_cell_length_b 9.132
_cell_length_c 7.233
_cell_angle_alpha 90.00
_cell_angle_beta 109.71
_cell_angle_gamma 90.00
_space_group_name_H-M_alt 'C 1 2/m 1'
_space_group_IT_number 12
loop_
_space_group_symop_operation_xyz
'x,y,z'
'-x,-y,-z'
'-x,y,-z'
'x,-y,z'
'x+1/2,y+1/2,z'
'-x+1/2,-y+1/2,-z'
'-x+1/2,y+1/2,-z'
'x+1/2,-y+1/2,z'
loop_
_atom_site_label
_atom_site_type_symbol
_atom_site_fract_x
_atom_site_fract_y
_atom_site_fract_z
Li1 Li 0.000 0.247 0.000
Li2 Li 0.228 0.500 0.605
Fe1 Fe 0.000 0.191 0.500
Fe2 Fe 0.213 0.000 0.871
F1 F 0.050 0.150 0.783
F2 F 0.134 0.000 0.544
F3 F 0.136 0.325 0.519
F4 F 0.163 0.351 0.117
F5 F 0.197 0.000 0.121
```


Entry 6:
The following is a computed PXRD pattern of V2ZnO4. It was derived from a GGA+U-relaxed structure, using CuKα.

The 12 most intense peaks (15 to 90 degrees two-theta), by angle:
2θ/deg  I_rel  hkl
29.41  39  1 1 0
34.63  100  0 1 5
42.08  14  0 2 4
52.06  4  0 1 8
52.20  10  3 0 0
55.52  8  0 2 7
55.62  28  1 2 5
60.94  22  2 0 8
61.10  22  2 2 0
72.16  8  3 1 5
87.07  4  1 2 11
87.24  10  4 1 3

```
data_V2ZnO4
_cell_length_a 6.0671
_cell_length_b 6.0671
_cell_length_c 14.9124
_cell_angle_alpha 90.00
_cell_angle_beta 90.00
_cell_angle_gamma 120.00
_space_group_name_H-M_alt 'P 3 m 1'
_space_group_IT_number 156
loop_
_space_group_symop_operation_xyz
'x,y,z'
'-y,x-y,z'
'-x+y,-x,z'
'-y,-x,z'
'-x+y,y,z'
'x,x-y,z'
loop_
_atom_site_label
_atom_site_type_symbol
_atom_site_fract_x
_atom_site_fract_y
_atom_site_fract_z
V1 V 0.0000 0.0000 0.0000
V2 V 0.0000 0.0000 0.3746
V3 V 0.1678 0.3357 0.2085
V4 V 0.3329 0.1664 0.5409
V5 V 0.5007 0.0015 0.8745
V6 V 0.6667 0.3333 0.7069
Zn1 Zn 0.0000 0.0000 0.7491
Zn2 Zn 0.3333 0.6667 0.0432
Zn3 Zn 0.3333 0.6667 0.4164
Zn4 Zn 0.3333 0.6667 0.6664
Zn5 Zn 0.6667 0.3333 0.0882
Zn6 Zn 0.6667 0.3333 0.3321
O1 O 0.0000 0.0000 0.1305
O2 O 0.0000 0.0000 0.6133
O3 O 0.0227 0.5113 0.1330
O4 O 0.1516 0.3033 0.4608
O5 O 0.1739 0.3477 0.9516
O6 O 0.3046 0.1523 0.2878
O7 O 0.3333 0.6667 0.2828
O8 O 0.3333 0.6667 0.8034
O9 O 0.3618 0.1809 0.7939
O10 O 0.5141 0.0281 0.6218
O11 O 0.6667 0.3333 0.4692
O12 O 0.6667 0.3333 0.9473
```


Entry 7:
The following is a computed PXRD pattern of V2Bi8O17. It was derived from a GGA+U-relaxed structure, using CuKα.

The 12 most intense peaks (15 to 90 degrees two-theta), by angle:
2θ/deg  I_rel  hkl
21.69  53  1 1 -1
22.47  25  -1 1 1
22.71  32  1 0 3
24.67  53  1 1 3
25.55  21  1 1 -2
28.18  23  1 0 4
28.58  35  0 2 0
28.93  33  1 -1 3
29.39  100  -1 1 3
31.50  39  2 1 0
33.49  25  1 2 3
46.37  36  2 0 6

```
data_V2Bi8O17
_cell_length_a 6.176
_cell_length_b 6.339
_cell_length_c 13.896
_cell_angle_alpha 81.76
_cell_angle_beta 80.82
_cell_angle_gamma 83.23
_space_group_name_H-M_alt 'P 1'
_space_group_IT_number 1
loop_
_space_group_symop_operation_xyz
'x,y,z'
loop_
_atom_site_label
_atom_site_type_symbol
_atom_site_fract_x
_atom_site_fract_y
_atom_site_fract_z
V1 V 0.000 0.000 0.000
V2 V 0.454 0.016 0.508
Bi1 Bi 0.303 0.407 0.320
Bi2 Bi 0.327 0.433 0.670
Bi3 Bi 0.437 0.931 0.171
Bi4 Bi 0.507 0.804 0.933
Bi5 Bi 0.810 0.359 0.825
Bi6 Bi 0.899 0.087 0.313
Bi7 Bi 0.922 0.963 0.656
Bi8 Bi 0.930 0.498 0.103
O1 O 0.101 0.204 0.744
O2 O 0.138 0.754 0.958
O3 O 0.197 0.719 0.241
O4 O 0.202 0.216 0.213
O5 O 0.245 0.857 0.566
O6 O 0.324 0.024 0.027
O7 O 0.381 0.283 0.535
O8 O 0.490 0.031 0.382
O9 O 0.602 0.629 0.063
O10 O 0.611 0.243 0.728
O11 O 0.702 0.912 0.547
O12 O 0.716 0.317 0.220
O13 O 0.789 0.018 0.917
O14 O 0.874 0.920 0.114
O15 O 0.953 0.646 0.729
O16 O 0.989 0.313 0.394
O17 O 0.991 0.293 0.981
```